The following is a calculated powder X-ray diffraction pattern of Ac2Zn12Au7. It was derived from a DFT-relaxed cell (PBE, Alexandria), using Cu Ka.
Peak positions follow from Bragg's law for the DFT cell and can differ from measured ones.

Largest 6 diffraction maxima, sorted by position, 15° ≤ 2θ ≤ 90°:
2theta  Rel. int.
25.84  38
28.56  43
33.34  100
41.43  33
45.56  41
48.39  32

```
data_Ac2Zn12Au7
_cell_length_a 10.5348
_cell_length_b 10.5348
_cell_length_c 4.2902
_cell_angle_alpha 90.00
_cell_angle_beta 90.00
_cell_angle_gamma 120.00
_space_group_name_H-M_alt 'P -3'
_space_group_IT_number 147
_space_group_name_Hall '-P 3'
loop_
_atom_site_label
_atom_site_fract_x
_atom_site_fract_y
_atom_site_fract_z
_atom_site_occupancy
Ac1 0.3333 0.6667 0.2468 1
Zn1 0.0499 0.6205 0.7491 1
Zn2 0.1239 0.8632 0.2402 1
Au1 0.0000 0.0000 0.5000 1
Au2 0.1150 0.4056 0.7494 1
```